Theoretical XRD peak list
Compound: CaMgCoHNF
Radiation: Cu Ka
Structure: a PBE+U-relaxed structure

Cell and atoms:
```
CaMgCoHNF
1.0
3.3656 0.0000 0.0000
0.0000 3.7972 0.0000
0.0000 0.0000 11.8299
Ca Mg Co H N F
2 2 2 2 2 2
Cartesian
0.0000 0.0000 0.0000
1.6828 1.8986 5.9150
0.0000 0.0000 8.6974
1.6828 1.8986 2.7825
0.0000 0.0000 4.4270
1.6828 1.8986 10.3419
0.0000 0.0000 6.1627
1.6828 1.8986 0.2477
0.0000 1.8986 3.9841
1.6828 0.0000 9.8991
0.0000 1.8986 7.7563
1.6828 0.0000 1.8414
```

Largest 12 diffraction maxima, in order of rising 2θ, 2θ = 10–90°:
(hkl)	Position (°2θ)	I/Imax
0 0 2	14.98	56
0 1 3	32.74	52
1 0 3	35.05	100
1 1 0	35.65	46
1 1 2	38.86	37
0 1 5	45.15	29
1 0 5	46.94	17
0 2 0	47.91	26
2 0 0	54.53	17
1 2 3	60.73	35
2 1 3	65.08	14
1 1 8	74.39	16